For Hf2Ga6Au, a PBE-relaxed structure gives the calculated X-ray powder pattern in this record (copper Kα).
No peak broadening, texture or thermal motion is included.

Cell and atoms:
a b c (Å): 8.145 8.145 3.162
angles (deg): 90.00 90.00 127.09
Fractional coordinates of all 9 atoms:
Hf 0.191 0.809 0.000
Hf 0.809 0.191 0.000
Ga 0.158 0.479 0.500
Ga 0.189 0.189 0.000
Ga 0.479 0.158 0.500
Ga 0.521 0.842 0.500
Ga 0.811 0.811 0.000
Ga 0.842 0.521 0.500
Au 0.500 0.500 0.500

The 12 most intense peaks (10° ≤ 2θ ≤ 90°), low angle first:
Position (°2θ)  d_spacing  Rel. int.
22.0  4.039  600
31.5  2.843  889
37.0  2.431  516
39.8  2.266  1000
41.7  2.166  897
44.0  2.056  716
45.5  1.995  248
58.4  1.581  237
64.3  1.448  276
71.2  1.325  196
74.3  1.277  322
79.8  1.202  180

=====

For Ga2Hg2Au, a PBE-relaxed structure gives the calculated X-ray powder pattern in this record (copper Kα).
No peak broadening, texture or thermal motion is included.

Cell and atoms:
a b c (Å): 6.746 6.746 4.944
angles (deg): 90.00 90.00 90.00
Fractional coordinates of all 10 atoms:
Ga 0.140 0.360 0.000
Ga 0.360 0.860 0.000
Ga 0.640 0.140 0.000
Ga 0.860 0.640 0.000
Hg 0.181 0.681 0.500
Hg 0.319 0.181 0.500
Hg 0.681 0.819 0.500
Hg 0.819 0.319 0.500
Au 0.000 0.000 0.000
Au 0.500 0.500 0.000

The 12 most intense peaks (10° ≤ 2θ ≤ 90°), low angle first:
Position (°2θ)  d_spacing  Rel. int.
26.0  3.433  301
29.6  3.017  137
32.1  2.786  765
34.8  2.575  1000
36.3  2.472  413
37.7  2.385  187
42.4  2.133  379
53.4  1.716  139
57.0  1.615  317
59.5  1.553  232
61.2  1.514  141
64.4  1.446  169